This entry pairs a crystal structure of Ba2Zn2ClF7 with its computed powder X-ray diffraction pattern. Radiation: copper Kα. Structure: a structure optimized by DFT (PBE).
No peak broadening, texture or thermal motion is included.

The 10 most intense peaks (2θ from 10° to 90°), most intense first:
2theta  I/Imax  hkl
25.5  100.0  0 1 2
28.2  64.3  2 1 0
40.8  34.9  2 2 -2
51.1  28.6  4 1 0
30.3  26.5  0 2 0
39.8  25.7  1 0 -4
23.7  24.9  2 0 0
49.5  23.0  3 1 -4
26.6  22.5  2 0 -2
39.1  22.4  2 1 2

Atomic structure:
```
24
Lattice="7.8313 0.0000 0.0000 0.0000 5.8902 0.0000 -2.6199 0.0000 8.6719" Properties=species:S:1:pos:R:3 pbc="T T T"
Ba 0.2309 1.4725 3.5783
Ba -0.8884 1.4725 8.0269
Ba 6.0999 4.4176 0.6450
Ba 4.9805 4.4176 5.0937
Zn 2.0302 4.4176 1.5140
Zn 0.6404 4.4176 6.3644
Zn 4.5711 1.4725 2.3076
Zn 3.1812 1.4725 7.1580
Cl 1.7602 4.4176 4.0781
Cl 3.4513 1.4725 4.5938
F 0.5930 2.9850 1.3940
F 0.5930 5.8503 1.3940
F -0.6308 2.9573 5.6759
F -0.6308 5.8780 5.6759
F -0.5193 4.4176 8.0973
F 3.4262 0.0081 1.4889
F 3.4262 2.9370 1.4889
F 1.7853 2.9532 7.1830
F 1.7853 5.8821 7.1830
F 5.7308 1.4725 0.5746
F 5.8422 0.0122 2.9961
F 5.8422 2.9329 2.9961
F 4.6185 0.0399 7.2779
F 4.6185 2.9052 7.2779
```


This entry pairs a crystal structure of RbBa3Ga5Se10Cl2 with its computed powder X-ray diffraction pattern. Radiation: copper Kα. Structure: a structure optimized by DFT (PBE).
No peak broadening, texture or thermal motion is included.

The 10 most intense peaks (2θ from 10° to 90°), most intense first:
2theta  I/Imax  hkl
28.2  100.0  1 2 3
28.1  95.7  2 -1 2
47.3  38.9  3 1 5
32.0  23.7  3 1 2
11.5  22.3  0 1 0
37.1  19.1  -2 3 1
45.9  17.3  2 4 3
46.0  15.7  4 -2 1
23.1  15.2  2 0 2
30.3  14.9  2 0 -1

Atomic structure:
```
21
Lattice="8.8154 0.0000 0.0000 0.0021 8.8475 0.0000 4.4054 4.3868 7.9520" Properties=species:S:1:pos:R:3 pbc="T T T"
Rb 0.0000 0.0000 0.0000
Ba 5.5491 9.7598 4.3235
Ba 6.5052 4.2243 0.0196
Ba 9.7713 3.2935 4.3207
Ga 2.4186 4.8539 0.8048
Ga 4.9575 5.6964 3.5187
Ga 4.0931 8.2618 0.8320
Ga 7.6410 6.5154 6.1495
Ga 10.3904 7.4039 3.4880
Se 3.2448 6.5081 5.0146
Se 2.5307 9.3188 2.3564
Se 5.7952 7.6409 7.2723
Se 4.0601 3.7776 2.3027
Se 7.7359 10.9186 7.2727
Se 6.6471 4.6657 4.9409
Se 6.0074 7.3167 2.0472
Se 9.5199 5.4524 7.3000
Se 8.7396 8.3892 4.9942
Se 9.3511 5.7071 2.0639
Cl 7.6205 2.1881 2.2631
Cl 12.0298 10.8497 6.0877
```


This entry pairs a crystal structure of Ba3GaS4Cl with its computed powder X-ray diffraction pattern. Radiation: copper Kα. Structure: a structure optimized by DFT (PBE).
No peak broadening, texture or thermal motion is included.

The 10 most intense peaks (2θ from 10° to 90°), most intense first:
2theta  I/Imax  hkl
23.9  100.0  3 0 1
28.8  86.7  1 2 2
22.3  44.0  1 2 1
37.2  39.6  0 4 0
23.3  36.8  2 2 0
30.6  32.4  4 0 1
31.4  30.1  2 2 2
25.6  28.7  2 2 1
42.3  26.8  5 2 1
48.9  25.4  6 0 2

Atomic structure:
```
36
Lattice="12.4202 0.0000 0.0000 0.0000 9.6657 0.0000 0.0000 0.0000 8.5456" Properties=species:S:1:pos:R:3 pbc="T T T"
Ba 0.2371 2.4164 0.7377
Ba 2.0834 0.1926 4.9952
Ba 2.0834 4.6403 4.9952
Ba 4.1267 5.0254 0.7223
Ba 4.1267 9.4731 0.7223
Ba 5.9730 7.2493 5.0105
Ba 6.4472 2.4164 3.5351
Ba 8.2935 0.1926 7.8233
Ba 8.2935 4.6403 7.8233
Ba 10.3367 5.0254 3.5505
Ba 10.3367 9.4731 3.5505
Ba 12.1831 7.2493 7.8079
Ga 1.3185 7.2493 2.6564
Ga 4.8916 2.4164 6.9293
Ga 7.5286 7.2493 1.6164
Ga 11.1016 2.4164 5.8892
S 0.0815 7.2493 4.5828
S 0.9076 5.3036 1.5961
S 0.9076 9.1950 1.5961
S 2.6450 2.4164 7.3742
S 3.5651 7.2493 3.1013
S 5.3025 0.4708 5.8689
S 5.3025 4.3621 5.8689
S 6.1286 2.4164 0.3100
S 6.2916 7.2493 8.2357
S 7.1177 5.3036 2.6767
S 7.1177 9.1950 2.6767
S 8.8551 2.4164 5.4443
S 9.7752 7.2493 1.1715
S 11.5126 0.4708 6.9495
S 11.5126 4.3621 6.9495
S 12.3387 2.4164 3.9628
Cl 2.8608 7.2493 7.1168
Cl 3.3493 2.4164 2.8440
Cl 9.0708 7.2493 5.7017
Cl 9.5594 2.4164 1.4288
```


This entry pairs a crystal structure of Ba4NaGe3S10Cl with its computed powder X-ray diffraction pattern. Radiation: copper Kα. Structure: a structure optimized by DFT (PBE).
No peak broadening, texture or thermal motion is included.

The 10 most intense peaks (2θ from 10° to 90°), most intense first:
2theta  I/Imax  hkl
31.0  100.0  3 0 0
28.3  67.8  2 1 1
24.0  57.5  1 0 3
27.3  49.8  1 2 0
21.8  41.6  2 0 1
28.1  34.6  1 1 3
19.2  34.0  1 1 1
52.6  33.2  1 2 6
43.7  32.4  3 1 3
40.4  32.2  1 3 2

Atomic structure:
```
38
Lattice="9.9726 0.0000 0.0000 -4.9863 8.6366 0.0000 0.0000 0.0000 12.3271" Properties=species:S:1:pos:R:3 pbc="T T T"
Ba -0.8613 3.0424 0.0000
Ba -1.9209 7.8613 0.0000
Ba 0.0000 5.7577 3.8190
Ba 2.2041 2.2671 6.1636
Ba 2.7822 6.3695 0.0000
Ba 4.9863 2.8788 9.9825
Ba 6.9072 0.7753 6.1636
Ba 5.8476 5.5942 6.1636
Na 0.0000 0.0000 3.1177
Na 0.0000 0.0000 9.2812
Ge -1.0526 3.8651 8.1613
Ge -1.1128 7.6156 8.1613
Ge 2.8209 2.8441 1.9977
Ge 2.1654 5.7924 8.1613
Ge 6.0991 1.0209 1.9977
Ge 6.0389 4.7715 1.9977
S -3.1350 6.4781 3.1383
S -1.2139 3.6469 6.0022
S -2.1485 5.7170 8.9540
S 0.9436 2.6825 3.1383
S 2.7950 0.5240 9.3019
S 0.0000 5.7577 0.7845
S -1.2211 7.8644 6.0022
S 1.1095 3.9174 8.9540
S 2.5513 2.8747 12.1657
S 3.9473 0.9979 2.7905
S 1.0390 7.6387 8.9540
S 2.4350 5.7618 6.0022
S 3.8768 4.7191 2.7905
S 6.2074 0.7721 12.1657
S 4.9863 2.8788 6.9481
S 2.1914 8.1125 3.1383
S 4.0427 5.9540 9.3019
S 7.1348 2.9196 2.7905
S 6.2002 4.9897 12.1657
S 8.1213 2.1585 9.3019
Cl 0.0000 0.0000 0.0705
Cl 0.0000 0.0000 6.2340
```


This entry pairs a crystal structure of BaHCl with its computed powder X-ray diffraction pattern. Radiation: copper Kα. Structure: a structure optimized by DFT (PBE).
No peak broadening, texture or thermal motion is included.

The 10 most intense peaks (2θ from 10° to 90°), most intense first:
2theta  I/Imax  hkl
23.5  100.0  1 0 1
28.5  93.6  1 1 0
31.7  51.2  1 0 2
37.8  50.5  1 1 2
24.3  38.8  0 0 2
40.7  35.6  2 0 0
47.5  32.0  2 1 1
48.0  24.1  2 0 2
42.3  23.1  1 0 3
52.5  22.8  2 1 2

Atomic structure:
```
6
Lattice="4.4353 0.0000 0.0000 0.0000 4.4353 0.0000 0.0000 0.0000 7.3147" Properties=species:S:1:pos:R:3 pbc="T T T"
Ba 1.1088 1.1088 1.5204
Ba 3.3265 3.3265 5.7943
H 1.1088 3.3265 0.0000
H 3.3265 1.1088 0.0000
Cl 1.1088 1.1088 4.7766
Cl 3.3265 3.3265 2.5381
```


This entry pairs a crystal structure of BaH4Cl2O2 with its computed powder X-ray diffraction pattern. Radiation: copper Kα. Structure: a structure optimized by DFT (PBE).
No peak broadening, texture or thermal motion is included.

The 10 most intense peaks (2θ from 10° to 90°), most intense first:
2theta  I/Imax  hkl
19.8  100.0  1 1 -2
30.4  91.4  1 3 -2
16.0  88.3  0 2 0
26.1  79.7  0 1 2
34.9  60.4  0 3 2
17.8  59.8  1 0 0
42.8  55.9  3 1 -4
32.7  54.8  1 2 -3
30.1  48.4  1 3 0
24.0  46.9  1 2 0

Atomic structure:
```
36
Lattice="6.8190 0.0000 0.0000 0.0000 11.0546 0.0000 -6.6792 0.0000 7.1826" Properties=species:S:1:pos:R:3 pbc="T T T"
Ba -0.2565 2.3945 1.0494
Ba -3.5961 3.1328 4.6407
Ba 3.7359 7.9218 2.5420
Ba 0.3963 8.6601 6.1333
H -1.6275 0.7095 3.5070
H -4.9672 4.8178 7.0983
H -0.0963 6.9121 3.2830
H -3.4359 9.6698 6.8743
H -0.9121 6.2007 4.4417
H 2.4275 10.3811 0.8504
H -2.6338 7.0476 6.4679
H 0.7058 9.5343 2.8766
H -0.5660 1.5203 4.3061
H 2.7736 4.0070 0.7147
H -2.2877 0.6735 6.3323
H 1.0519 4.8538 2.7410
H 3.5757 1.3848 0.3083
H 0.2360 4.1425 3.8996
H 5.1070 6.2368 0.0843
H 1.7673 10.3451 3.6757
Cl -4.2351 6.4276 5.0862
Cl -0.8955 10.1542 1.4949
Cl 0.9923 6.6690 1.4426
Cl -2.3473 9.9128 5.0339
Cl 2.4871 1.1417 2.1488
Cl -0.8525 4.3855 5.7401
Cl 1.0353 0.9003 5.6877
Cl 4.3749 4.6270 2.0964
O -1.2957 1.6248 3.6408
O 2.0439 3.9025 0.0495
O -0.7547 7.0769 4.0121
O 2.5850 9.5050 0.4208
O -2.4452 1.5496 6.7618
O 0.8945 3.9777 3.1705
O -1.9041 7.1521 7.1331
O 1.4355 9.4298 3.5418
```